KTaWO6: simulated powder diffraction line list (Cu Kα), based on a DFT-relaxed cell (PBE+U, Alexandria).
Intensities are scaled so that the largest is 100.

Peak list (10 most intense, 10 to 80 degrees two-theta, sorted by position)
Position (°2θ)  I_rel
14.6  100
28.1  51
28.2  26
29.4  76
34.1  15
37.3  12
44.7  13
49.1  28
51.4  13
58.2  11

Cell and atoms:
```
KTaWO6
1.0
-3.7172 5.2340 3.7299
3.7172 -5.2340 3.7299
3.7172 5.2340 -3.7299
K Ta W O
2 2 2 12
direct
0.1596 0.2500 0.4096
0.8404 0.7500 0.5904
0.3964 0.3964 0.0000
0.3964 0.8964 0.5000
0.4049 0.9038 0.0011
0.9028 0.4038 0.9989
0.0746 0.2675 0.9398
0.0746 0.6348 0.3071
0.0817 0.6421 0.9396
0.3187 0.1342 0.6846
0.3277 0.1348 0.0602
0.3277 0.7675 0.6929
0.4486 0.0110 0.3056
0.4486 0.6431 0.9377
0.4496 0.6342 0.3154
0.7025 0.1421 0.0604
0.7054 0.1431 0.6944
0.7054 0.5110 0.0623
```